Record 1
This entry pairs a crystal structure of Rb3SnO4 with its simulated XRD peak list. Radiation: λ = 1.5418 Å (Cu Kα). Structure: the GGA-PBE geometry in Alexandria.

Crystal structure
abc: 6.785 8.996 6.946
angles: 90.00 90.00 90.00
Positions (direct):
Rb: 0.000 0.000 0.000
Rb: 0.000 0.230 0.534
Rb: 0.000 0.770 0.534
Rb: 0.500 0.270 0.034
Rb: 0.500 0.500 0.500
Rb: 0.500 0.730 0.034
Sn: 0.000 0.500 0.055
Sn: 0.500 0.000 0.555
O: 0.000 0.311 0.908
O: 0.000 0.689 0.908
O: 0.244 0.500 0.212
O: 0.256 0.000 0.712
O: 0.500 0.189 0.408
O: 0.500 0.811 0.408
O: 0.744 0.000 0.712
O: 0.756 0.500 0.212

Peak list (6 most intense, 5° ≤ 2θ ≤ 70°, in order of rising 2θ)
| two_theta | Rel. int. |
| --- | --- |
| 25.65 | 27 |
| 26.27 | 31 |
| 27.03 | 100 |
| 37.05 | 26 |
| 46.08 | 24 |
| 46.83 | 22 |


Record 2
This entry pairs a crystal structure of Rb2SrSnO4 with its simulated XRD peak list. Radiation: λ = 1.5418 Å (Cu Kα). Structure: the GGA-PBE geometry in Alexandria.

Crystal structure
abc: 6.307 6.307 9.176
angles: 90.00 90.00 90.00
Positions (direct):
Rb: 0.000 0.000 0.000
Rb: 0.000 0.500 0.250
Rb: 0.500 0.000 0.750
Rb: 0.500 0.500 0.500
Sr: 0.000 0.000 0.500
Sr: 0.500 0.500 0.000
Sn: 0.000 0.500 0.750
Sn: 0.500 0.000 0.250
O: 0.158 0.284 0.634
O: 0.216 0.658 0.866
O: 0.284 0.842 0.366
O: 0.342 0.216 0.134
O: 0.658 0.784 0.134
O: 0.716 0.158 0.366
O: 0.784 0.342 0.866
O: 0.842 0.716 0.634

Peak list (6 most intense, 5° ≤ 2θ ≤ 70°, in order of rising 2θ)
| two_theta | Rel. int. |
| --- | --- |
| 27.90 | 100 |
| 28.30 | 36 |
| 40.45 | 20 |
| 49.11 | 24 |
| 49.86 | 38 |
| 57.65 | 11 |


Record 3
This entry pairs a crystal structure of RbSnTeO5 with its simulated XRD peak list. Radiation: λ = 1.5418 Å (Cu Kα). Structure: the GGA-PBE geometry in Alexandria.

Crystal structure
abc: 6.366 6.366 7.700
angles: 103.98 103.98 106.59
Positions (direct):
Rb: 0.167 0.833 0.750
Rb: 0.833 0.167 0.250
Sn: 0.500 0.500 0.000
Sn: 0.500 0.500 0.500
Te: 0.191 0.809 0.250
Te: 0.809 0.191 0.750
O: 0.124 0.282 0.919
O: 0.211 0.601 0.394
O: 0.282 0.124 0.419
O: 0.399 0.789 0.106
O: 0.440 0.560 0.750
O: 0.560 0.440 0.250
O: 0.601 0.211 0.894
O: 0.718 0.876 0.581
O: 0.789 0.399 0.606
O: 0.876 0.718 0.081

Peak list (6 most intense, 5° ≤ 2θ ≤ 70°, in order of rising 2θ)
| two_theta | Rel. int. |
| --- | --- |
| 24.85 | 82 |
| 25.60 | 86 |
| 29.21 | 100 |
| 30.85 | 59 |
| 32.99 | 33 |
| 47.46 | 49 |


Record 4
This entry pairs a crystal structure of RbTlSnO3 with its simulated XRD peak list. Radiation: λ = 1.5418 Å (Cu Kα). Structure: the GGA-PBE geometry in Alexandria.

Crystal structure
abc: 7.460 7.460 5.711
angles: 94.99 94.99 125.24
Positions (direct):
Rb: 0.093 0.907 0.750
Rb: 0.907 0.093 0.250
Tl: 0.280 0.720 0.250
Tl: 0.720 0.280 0.750
Sn: 0.447 0.553 0.750
Sn: 0.553 0.447 0.250
O: 0.279 0.358 0.017
O: 0.298 0.702 0.750
O: 0.358 0.279 0.517
O: 0.642 0.721 0.483
O: 0.702 0.298 0.250
O: 0.721 0.642 0.983

Peak list (6 most intense, 5° ≤ 2θ ≤ 70°, in order of rising 2θ)
| two_theta | Rel. int. |
| --- | --- |
| 14.75 | 40 |
| 26.46 | 85 |
| 27.50 | 100 |
| 30.33 | 100 |
| 31.92 | 50 |
| 37.65 | 44 |